1.
For Fe3Co5, the PBE geometry in Alexandria gives the theoretical X-ray diffraction stick pattern in this record (Cu Kα (λ = 1.5418 Å)).
Kinematic intensities with the Lorentz-polarization factor, no thermal factor.

Principal peaks in the range 5 to 70 degrees two-theta, by angle:
- 2θ = 45.24°, d = 2.004 Å, I = 100.0, (0 1 8)
- 2θ = 45.34°, d = 2.000 Å, I = 99.8, (1 1 0)
- 2θ = 65.98°, d = 1.416 Å, I = 29.3, (2 0 8)

Structure:
a = 4.0003 Å, b = 4.0003 Å, c = 19.6595 Å
α = 90.00°, β = 90.00°, γ = 120.00°
Space group R-3m (No. 166, hexagonal axes)
Unique sites:
Fe 0.0000 0.0000 0.0000 [3 per cell]
Fe 0.0000 0.0000 0.2479 [6 per cell]
Co 0.0000 0.0000 0.1233 [6 per cell]
Co 0.0000 0.0000 0.3741 [6 per cell]
Co 0.0000 0.0000 0.5000 [3 per cell]

---

2.
For KMg4P3, the PBE geometry in Alexandria gives the theoretical X-ray diffraction stick pattern in this record (Cu Kα (λ = 1.5418 Å)).
Kinematic intensities with the Lorentz-polarization factor, no thermal factor.

Principal peaks in the range 5 to 70 degrees two-theta, by angle:
- 2θ = 25.96°, d = 3.432 Å, I = 89.0, (1 0 4)
- 2θ = 27.06°, d = 3.295 Å, I = 36.1, (0 1 5)
- 2θ = 29.80°, d = 2.999 Å, I = 14.8, (1 0 7)
- 2θ = 30.29°, d = 2.951 Å, I = 16.1, (0 0 12)
- 2θ = 34.97°, d = 2.566 Å, I = 53.4, (1 0 10)
- 2θ = 38.12°, d = 2.361 Å, I = 15.8, (0 0 15)
- 2θ = 41.06°, d = 2.198 Å, I = 34.2, (1 0 13)
- 2θ = 42.03°, d = 2.150 Å, I = 100.0, (1 1 0)
- 2θ = 52.68°, d = 1.737 Å, I = 17.5, (1 1 12)
- 2θ = 58.03°, d = 1.589 Å, I = 25.4, (1 1 15)

Structure:
a = 4.2990 Å, b = 4.2990 Å, c = 35.4118 Å
α = 90.00°, β = 90.00°, γ = 120.00°
Space group R-3m (No. 166, hexagonal axes)
Unique sites:
K 0.0000 0.0000 0.0000 [3 per cell]
Mg 0.0000 0.0000 0.1973 [6 per cell]
Mg 0.0000 0.0000 0.4126 [6 per cell]
P 0.0000 0.0000 0.2676 [6 per cell]
P 0.0000 0.0000 0.5000 [3 per cell]

---

Please write out number 2 again, unchanged.
For KMg4P3, the PBE geometry in Alexandria gives the theoretical X-ray diffraction stick pattern in this record (Cu Kα (λ = 1.5418 Å)).
Kinematic intensities with the Lorentz-polarization factor, no thermal factor.

Principal peaks in the range 5 to 70 degrees two-theta, by angle:
- 2θ = 25.96°, d = 3.432 Å, I = 89.0, (1 0 4)
- 2θ = 27.06°, d = 3.295 Å, I = 36.1, (0 1 5)
- 2θ = 29.80°, d = 2.999 Å, I = 14.8, (1 0 7)
- 2θ = 30.29°, d = 2.951 Å, I = 16.1, (0 0 12)
- 2θ = 34.97°, d = 2.566 Å, I = 53.4, (1 0 10)
- 2θ = 38.12°, d = 2.361 Å, I = 15.8, (0 0 15)
- 2θ = 41.06°, d = 2.198 Å, I = 34.2, (1 0 13)
- 2θ = 42.03°, d = 2.150 Å, I = 100.0, (1 1 0)
- 2θ = 52.68°, d = 1.737 Å, I = 17.5, (1 1 12)
- 2θ = 58.03°, d = 1.589 Å, I = 25.4, (1 1 15)

Structure:
a = 4.2990 Å, b = 4.2990 Å, c = 35.4118 Å
α = 90.00°, β = 90.00°, γ = 120.00°
Space group R-3m (No. 166, hexagonal axes)
Unique sites:
K 0.0000 0.0000 0.0000 [3 per cell]
Mg 0.0000 0.0000 0.1973 [6 per cell]
Mg 0.0000 0.0000 0.4126 [6 per cell]
P 0.0000 0.0000 0.2676 [6 per cell]
P 0.0000 0.0000 0.5000 [3 per cell]